LiRuO2: computed XRD peak list (Cu Kα, 1.54184 Å), based on a PBE-relaxed structure.
Kinematic intensities with the Lorentz-polarization factor, no thermal factor.

Top 8 peaks for 10° ≤ 2θ ≤ 80°, low angle first:
2θ (°), intensity
24.75, 100
35.75, 16
36.65, 36
36.88, 31
50.75, 22
51.62, 40
52.13, 25
64.97, 12

Structure:
Cell lengths 5.0235, 5.1546, 2.7872 Å; angles 90.00, 90.00, 90.00 degrees
Space group Pnnm (No. 58)
Inequivalent atoms, fractional coordinates:
1 Li 0.0000 0.0000 0.0000
2 Ru 0.0000 0.5000 0.0000
3 O 0.1704 0.2482 0.5000